This entry pairs a crystal structure of NdCr2GeO6 with its simulated powder diffraction line list. Radiation: λ = 1.5418 Å (Cu Kα). Structure: a PBE+U-relaxed structure.
No peak broadening, texture or thermal motion is included.

Cell lengths 5.250, 5.320, 5.649 Å; angles 115.44, 90.07, 119.27 degrees
Space group P1 (No. 1)
Asymmetric unit:
1 Nd 0.000 0.000 0.000 (multiplicity 1)
2 Cr 0.274 0.530 0.815 (multiplicity 1)
3 Cr 0.776 0.558 0.362 (multiplicity 1)
4 Ge 0.463 0.935 0.421 (multiplicity 1)
5 O 0.074 0.699 0.149 (multiplicity 1)
6 O 0.185 0.741 0.609 (multiplicity 1)
7 O 0.434 0.507 0.147 (multiplicity 1)
8 O 0.537 0.380 0.602 (multiplicity 1)
9 O 0.641 0.085 0.170 (multiplicity 1)
10 O 0.815 0.006 0.603 (multiplicity 1)

Peak list (6 most intense, 15 to 90 degrees two-theta, sorted by position)
d_spacing, 2theta, Rel. int., index
3.830, 23.2, 100, 1 -1 1
2.917, 30.6, 97, 1 0 1
2.908, 30.7, 95, -1 1 1
2.800, 32.0, 79, 0 1 -2
2.668, 33.6, 84, 1 1 -1
2.656, 33.8, 74, 1 -2 1